This entry pairs a crystal structure of Rb2Li2SnBr6 with its simulated PXRD pattern. Radiation: copper Kα. Structure: the PBE geometry in Alexandria.
Lines closer than 0.1° are merged.

Most intense lines, 10 to 90 degrees two-theta, sorted by position:
2θ/deg, I/Imax
13.25, 64
24.03, 100
25.13, 40
26.49, 90
26.69, 91
31.04, 98
31.86, 51
40.08, 54
43.31, 43
45.20, 38

Structure:
```
Rb2Li2SnBr6
1.0
6.741 -4.012 0.000
6.741 4.012 0.000
-3.774 0.000 7.552
Rb Li Sn Br
2 2 1 6
direct
0.210 0.210 0.171 Rb
0.790 0.790 0.829 Rb
0.442 0.442 0.736 Li
0.558 0.558 0.264 Li
0.000 0.000 0.500 Sn
0.193 0.695 0.203 Br
0.241 0.241 0.598 Br
0.305 0.807 0.797 Br
0.695 0.193 0.203 Br
0.759 0.759 0.402 Br
0.807 0.305 0.797 Br
```